This entry pairs a crystal structure of CoReHOsO with its calculated XRD peak list. Radiation: Cu Kα (weighted mean of Kα1 and Kα2). Structure: a crystal structure in Alexandria, relaxed with GGA+U.

The 10 most intense peaks (5° ≤ 2θ ≤ 70°), sorted by position:
- 2θ 12.9, rel. 100.0, (2 0 0)
- 2θ 36.7, rel. 31.9, (2 0 1)
- 2θ 37.5, rel. 61.3, (3 1 0)
- 2θ 37.7, rel. 30.8, (4 0 -1)
- 2θ 39.5, rel. 11.4, (6 0 0)
- 2θ 45.2, rel. 53.4, (1 1 -1)
- 2θ 46.2, rel. 25.0, (5 1 0)
- 2θ 46.7, rel. 10.6, (6 0 -1)
- 2θ 47.0, rel. 11.8, (1 1 1)
- 2θ 53.6, rel. 11.3, (8 0 0)

Cell and atoms:
Unit cell a=13.907 b=2.817 c=2.852 alpha=90.00 beta=100.19 gamma=90.00
Space group Cm (No. 8)
Asymmetric unit:
Co: 0.000 0.000 0.000 [2 per cell]
Re: 0.222 0.500 0.721 [2 per cell]
H: 0.470 0.000 0.374 [2 per cell]
Os: 0.344 0.000 0.324 [2 per cell]
O: 0.112 0.000 0.625 [2 per cell]

---

This entry pairs a crystal structure of CoReHOsO with its calculated XRD peak list. Radiation: Cu Kα (weighted mean of Kα1 and Kα2). Structure: a crystal structure in Alexandria, relaxed with GGA+U.

The 10 most intense peaks (5° ≤ 2θ ≤ 70°), sorted by position:
- 2θ 13.0, rel. 100.0, (0 0 2)
- 2θ 37.1, rel. 64.7, (0 1 3)
- 2θ 37.3, rel. 64.2, (1 0 3)
- 2θ 39.7, rel. 11.9, (0 0 6)
- 2θ 44.8, rel. 42.8, (1 1 0)
- 2θ 45.9, rel. 21.3, (0 1 5)
- 2θ 46.1, rel. 23.6, (1 0 5)
- 2θ 46.9, rel. 21.8, (1 1 2)
- 2θ 53.9, rel. 9.7, (0 0 8)
- 2θ 61.4, rel. 16.5, (1 1 6)

Cell and atoms:
Unit cell a=2.846 b=2.871 c=13.614 alpha=90.00 beta=90.00 gamma=90.00
Space group Imm2 (No. 44)
Asymmetric unit:
Co: 0.000 0.000 0.000 [2 per cell]
Re: 0.000 0.000 0.715 [2 per cell]
H: 0.000 0.500 0.424 [2 per cell]
Os: 0.000 0.000 0.335 [2 per cell]
O: 0.000 0.500 0.102 [2 per cell]

---

This entry pairs a crystal structure of CoReHOsO with its calculated XRD peak list. Radiation: Cu Kα (weighted mean of Kα1 and Kα2). Structure: a crystal structure in Alexandria, relaxed with GGA+U.

The 10 most intense peaks (5° ≤ 2θ ≤ 70°), sorted by position:
- 2θ 12.7, rel. 100.0, (0 0 2)
- 2θ 34.1, rel. 25.5, (1 0 2)
- 2θ 37.1, rel. 48.5, (0 1 3)
- 2θ 38.7, rel. 6.8, (0 0 6)
- 2θ 40.9, rel. 46.7, (1 0 4)
- 2θ 45.6, rel. 80.6, (0 1 5)
- 2θ 50.7, rel. 7.8, (1 0 6)
- 2θ 52.4, rel. 12.4, (0 0 8)
- 2θ 65.7, rel. 6.6, (2 0 0)
- 2θ 66.0, rel. 19.4, (1 1 7)

Cell and atoms:
Unit cell a=2.842 b=2.835 c=13.973 alpha=90.00 beta=90.00 gamma=90.00
Space group Amm2 (No. 38)
Asymmetric unit:
Co: 0.000 0.000 0.000 [2 per cell]
Re: 0.000 0.000 0.257 [2 per cell]
H: 0.500 0.000 0.508 [2 per cell]
Os: 0.500 0.000 0.635 [2 per cell]
O: 0.000 0.000 0.861 [2 per cell]

---

This entry pairs a crystal structure of CoPH3O5 with its calculated XRD peak list. Radiation: Cu Kα (weighted mean of Kα1 and Kα2). Structure: a crystal structure in Alexandria, relaxed with GGA+U.

The 10 most intense peaks (5° ≤ 2θ ≤ 70°), sorted by position:
- 2θ 11.1, rel. 100.0, (1 1 0)
- 2θ 20.4, rel. 34.8, (3 -1 1)
- 2θ 28.5, rel. 37.9, (3 -2 2)
- 2θ 29.6, rel. 16.4, (4 1 0)
- 2θ 30.4, rel. 54.2, (5 -2 1)
- 2θ 36.2, rel. 19.7, (2 4 1)
- 2θ 41.3, rel. 12.2, (4 -2 3)
- 2θ 43.1, rel. 16.5, (6 -5 2)
- 2θ 49.7, rel. 12.0, (1 7 0)
- 2θ 60.1, rel. 12.8, (5 1 4)

Cell and atoms:
Unit cell a=15.9758 b=15.9758 c=7.8390 alpha=90.00 beta=90.00 gamma=120.00
Space group R-3 (No. 148, hexagonal axes)
Asymmetric unit:
Co: 0.0116 0.2705 0.1866 [18 per cell]
P: 0.0686 0.4936 0.2423 [18 per cell]
H: 0.0409 0.9058 0.8092 [18 per cell]
H: 0.0423 0.8690 0.3450 [18 per cell]
H: 0.0478 0.8922 0.0031 [18 per cell]
O: 0.0042 0.8606 0.9046 [18 per cell]
O: 0.0049 0.3857 0.2897 [18 per cell]
O: 0.0245 0.5541 0.3071 [18 per cell]
O: 0.0305 0.1633 0.6757 [18 per cell]
O: 0.0837 0.2415 0.3839 [18 per cell]

---

This entry pairs a crystal structure of Co2PHO5 with its calculated XRD peak list. Radiation: Cu Kα (weighted mean of Kα1 and Kα2). Structure: a crystal structure in Alexandria, relaxed with GGA+U.

The 10 most intense peaks (5° ≤ 2θ ≤ 70°), sorted by position:
- 2θ 15.1, rel. 100.0, (1 1 0)
- 2θ 18.1, rel. 70.8, (0 1 1)
- 2θ 18.3, rel. 95.7, (1 0 1)
- 2θ 24.2, rel. 41.9, (2 1 0)
- 2θ 30.5, rel. 89.2, (2 2 0)
- 2θ 33.4, rel. 91.8, (1 1 2)
- 2θ 33.8, rel. 35.7, (1 3 0)
- 2θ 34.5, rel. 49.8, (3 1 0)
- 2θ 36.7, rel. 39.5, (0 2 2)
- 2θ 37.0, rel. 49.3, (2 0 2)

Cell and atoms:
Unit cell a=8.194 b=8.397 c=6.032 alpha=90.00 beta=90.00 gamma=90.00
Space group Pnnm (No. 58)
Asymmetric unit:
Co: 0.000 0.000 0.246 [4 per cell]
Co: 0.138 0.370 0.000 [4 per cell]
P: 0.248 0.741 0.000 [4 per cell]
H: 0.225 0.081 0.000 [4 per cell]
O: 0.088 0.146 0.500 [4 per cell]
O: 0.109 0.613 0.000 [4 per cell]
O: 0.114 0.124 0.000 [4 per cell]
O: 0.233 0.848 0.209 [8 per cell]

---

This entry pairs a crystal structure of CoP4H10O16 with its calculated XRD peak list. Radiation: Cu Kα (weighted mean of Kα1 and Kα2). Structure: a crystal structure in Alexandria, relaxed with GGA+U.

The 10 most intense peaks (5° ≤ 2θ ≤ 70°), sorted by position:
- 2θ 11.9, rel. 35.2, (0 0 1)
- 2θ 15.2, rel. 20.6, (0 1 -1)
- 2θ 18.6, rel. 16.3, (0 1 1)
- 2θ 21.9, rel. 100.0, (-1 1 1)
- 2θ 24.5, rel. 36.4, (0 1 -2)
- 2θ 27.7, rel. 34.3, (1 1 1)
- 2θ 29.3, rel. 22.4, (1 -2 1)
- 2θ 30.5, rel. 21.6, (-1 2 1)
- 2θ 30.7, rel. 32.8, (1 2 -1)
- 2θ 37.1, rel. 16.7, (1 1 -3)

Cell and atoms:
Unit cell a=5.535 b=7.508 c=7.741 alpha=100.03 beta=100.52 gamma=96.57
Space group P-1 (No. 2)
Asymmetric unit:
Co: 0.000 0.000 0.000 [1 per cell]
P: 0.088 0.725 0.295 [2 per cell]
P: 0.445 0.754 0.821 [2 per cell]
H: 0.080 0.789 0.671 [2 per cell]
H: 0.209 0.409 0.598 [2 per cell]
H: 0.335 0.504 0.282 [2 per cell]
H: 0.349 0.971 0.328 [2 per cell]
H: 0.350 0.263 0.921 [2 per cell]
O: 0.059 0.212 0.864 [2 per cell]
O: 0.075 0.294 0.558 [2 per cell]
O: 0.161 0.534 0.237 [2 per cell]
O: 0.188 0.837 0.793 [2 per cell]
O: 0.317 0.869 0.396 [2 per cell]
O: 0.337 0.101 0.184 [2 per cell]
O: 0.419 0.579 0.681 [2 per cell]
O: 0.468 0.719 0.017 [2 per cell]

---

This entry pairs a crystal structure of ZnCoPHO5 with its calculated XRD peak list. Radiation: Cu Kα (weighted mean of Kα1 and Kα2). Structure: a crystal structure in Alexandria, relaxed with GGA+U.

The 10 most intense peaks (5° ≤ 2θ ≤ 70°), sorted by position:
- 2θ 11.9, rel. 23.6, (0 0 1)
- 2θ 19.0, rel. 100.0, (1 0 -1)
- 2θ 22.4, rel. 17.8, (1 -1 0)
- 2θ 22.6, rel. 41.5, (1 0 1)
- 2θ 27.7, rel. 32.5, (0 1 -2)
- 2θ 31.0, rel. 21.9, (1 1 -2)
- 2θ 32.1, rel. 30.2, (1 0 2)
- 2θ 35.2, rel. 17.6, (0 2 1)
- 2θ 37.7, rel. 23.5, (1 2 0)
- 2θ 48.9, rel. 17.6, (2 2 -1)

Cell and atoms:
Unit cell a=5.294 b=5.626 c=7.567 alpha=94.10 beta=100.17 gamma=93.56
Space group P-1 (No. 2)
Asymmetric unit:
Zn: 0.113 0.208 0.134 [2 per cell]
Co: 0.500 0.000 0.500 [1 per cell]
Co: 0.500 0.500 0.500 [1 per cell]
P: 0.059 0.301 0.719 [2 per cell]
H: 0.405 0.733 0.771 [2 per cell]
O: 0.085 0.116 0.868 [2 per cell]
O: 0.124 0.555 0.817 [2 per cell]
O: 0.221 0.727 0.386 [2 per cell]
O: 0.254 0.251 0.594 [2 per cell]
O: 0.447 0.229 0.287 [2 per cell]